# Al2NiO4
Computed powder diffractogram, Cu Kα, 1.54184 Å. Input: a DFT-relaxed cell (PBE+U, the Materials Project).
Kinematic intensities with the Lorentz-polarization factor, no thermal factor.

Structure:
a b c (Å): 5.7597 5.7597 13.9951
angles (deg): 90.10 90.10 60.14
Sites, in units of the cell vectors:
1 Al 0.0000 0.0000 0.0000
2 Al 0.0040 0.0040 0.6180
3 Al 0.0048 0.5051 0.1227
4 Al 0.0096 0.0096 0.2431
5 Al 0.1749 0.6706 0.7902
6 Al 0.3315 0.3315 0.3341
7 Al 0.3335 0.8377 0.4546
8 Al 0.5051 0.0048 0.1227
9 Al 0.6651 0.6651 0.6622
10 Al 0.6706 0.1749 0.7902
11 Al 0.6789 0.6789 0.9137
12 Al 0.8377 0.3335 0.4546
13 Ni 0.1737 0.1737 0.7898
14 Ni 0.3393 0.3393 0.5804
15 Ni 0.3391 0.3391 0.9554
16 Ni 0.5047 0.5047 0.1223
17 Ni 0.6706 0.6706 0.2894
18 Ni 0.8376 0.8376 0.4545
19 O 0.0108 0.0108 0.3719
20 O 0.0115 0.5208 0.8675
21 O 0.1510 0.1510 0.5322
22 O 0.1593 0.6627 0.0437
23 O 0.1676 0.7084 0.5371
24 O 0.1738 0.1738 0.0446
25 O 0.3166 0.8375 0.7044
26 O 0.3296 0.3296 0.2018
27 O 0.3475 0.8499 0.1996
28 O 0.3518 0.3518 0.7219
29 O 0.4901 0.9954 0.3779
30 O 0.5043 0.5043 0.3801
31 O 0.5084 0.5084 0.8669
32 O 0.5208 0.0115 0.8675
33 O 0.6620 0.6620 0.5333
34 O 0.6627 0.1593 0.0437
35 O 0.6803 0.6803 0.0437
36 O 0.7084 0.1676 0.5371
37 O 0.8355 0.8355 0.1985
38 O 0.8375 0.3166 0.7044
39 O 0.8464 0.8464 0.7057
40 O 0.8499 0.3475 0.1996
41 O 0.9954 0.4901 0.3779
42 O 0.9972 0.9972 0.8675

Peak list (12 most intense, 2θ = 5–70°, by angle)
| 2θ (°) | I/Imax |
| --- | --- |
| 18.86 | 56 |
| 21.87 | 22 |
| 31.00 | 34 |
| 36.58 | 49 |
| 36.67 | 100 |
| 36.82 | 59 |
| 44.60 | 80 |
| 58.90 | 26 |
| 59.02 | 26 |
| 64.59 | 19 |
| 64.74 | 36 |
| 65.06 | 37 |

=====

# NaSmEuWO6
Computed powder diffractogram, Cu Kα, 1.54184 Å. Input: a DFT-relaxed cell (PBE+U, the Materials Project).
Kinematic intensities with the Lorentz-polarization factor, no thermal factor.

Structure:
a b c (Å): 5.9755 5.9755 5.9755
angles (deg): 60.00 60.00 60.00
Sites, in units of the cell vectors:
1 Na 0.0000 0.0000 0.0000
2 Sm 0.7500 0.7500 0.7500
3 Eu 0.5000 0.5000 0.5000
4 W 0.2500 0.2500 0.2500
5 O 0.0196 0.0196 0.4804
6 O 0.0196 0.4804 0.0196
7 O 0.0196 0.4804 0.4804
8 O 0.4804 0.0196 0.0196
9 O 0.4804 0.0196 0.4804
10 O 0.4804 0.4804 0.0196

Peak list (12 most intense, 2θ = 5–70°, by angle)
| 2θ (°) | I/Imax |
| --- | --- |
| 18.18 | 18 |
| 21.03 | 19 |
| 29.91 | 100 |
| 35.22 | 10 |
| 42.80 | 30 |
| 46.86 | 4 |
| 48.16 | 8 |
| 53.09 | 41 |
| 56.59 | 4 |
| 62.14 | 19 |
| 65.33 | 4 |
| 66.37 | 4 |

=====

# Li3Co13O5F19
Computed powder diffractogram, Cu Kα, 1.54184 Å. Input: a DFT-relaxed cell (PBE+U, the Materials Project).
Kinematic intensities with the Lorentz-polarization factor, no thermal factor.

Structure:
a b c (Å): 6.1262 6.1576 12.2486
angles (deg): 91.15 91.14 91.14
Sites, in units of the cell vectors:
1 Li 0.0000 0.0000 0.0000
2 Li 0.0031 0.9997 0.5014
3 Li 0.5055 0.4951 0.7462
4 Co 0.0406 0.2635 0.2857
5 Co 0.0416 0.2641 0.7827
6 Co 0.2656 0.5616 0.0384
7 Co 0.2761 0.5641 0.5446
8 Co 0.4243 0.9319 0.8673
9 Co 0.4376 0.9320 0.3588
10 Co 0.5214 0.5194 0.2351
11 Co 0.5564 0.1076 0.6162
12 Co 0.5662 0.0900 0.1178
13 Co 0.7509 0.4509 0.9597
14 Co 0.7587 0.4484 0.4668
15 Co 0.8940 0.7518 0.2234
16 Co 0.9000 0.7323 0.7225
17 O 0.5389 0.3976 0.0784
18 O 0.5469 0.4090 0.5804
19 O 0.5862 0.8466 0.2203
20 O 0.8144 0.4735 0.3079
21 O 0.8150 0.4724 0.8045
22 F 0.0757 0.9304 0.8359
23 F 0.0822 0.3158 0.9634
24 F 0.0826 0.3193 0.4688
25 F 0.0835 0.9383 0.3400
26 F 0.1793 0.5635 0.1989
27 F 0.1900 0.5537 0.7035
28 F 0.3103 0.9131 0.0299
29 F 0.3195 0.9158 0.5353
30 F 0.3737 0.2211 0.2770
31 F 0.3784 0.1973 0.7727
32 F 0.4293 0.6132 0.3955
33 F 0.4310 0.6133 0.8947
34 F 0.5797 0.8389 0.7206
35 F 0.6884 0.0654 0.9474
36 F 0.6889 0.0707 0.4484
37 F 0.9033 0.0869 0.6518
38 F 0.9254 0.0960 0.1498
39 F 0.9245 0.6965 0.0452
40 F 0.9347 0.6993 0.5506

Peak list (12 most intense, 2θ = 5–70°, by angle)
| 2θ (°) | I/Imax |
| --- | --- |
| 20.27 | 26 |
| 24.97 | 39 |
| 25.66 | 75 |
| 32.29 | 56 |
| 32.41 | 100 |
| 32.96 | 48 |
| 35.70 | 21 |
| 46.61 | 34 |
| 46.99 | 27 |
| 47.22 | 47 |
| 55.53 | 36 |
| 57.13 | 25 |

=====

# Na4Fe2C4SO16
Computed powder diffractogram, Cu Kα, 1.54184 Å. Input: a DFT-relaxed cell (PBE+U, the Materials Project).
Kinematic intensities with the Lorentz-polarization factor, no thermal factor.

Structure:
a b c (Å): 9.9607 9.9319 9.7304
angles (deg): 60.86 60.57 58.57
Sites, in units of the cell vectors:
1 Na 0.0836 0.6664 0.0836
2 Na 0.0840 0.6660 0.6660
3 Na 0.3336 0.9164 0.3336
4 Na 0.3340 0.9160 0.9160
5 Na 0.6660 0.0840 0.0840
6 Na 0.6664 0.0836 0.6664
7 Na 0.9160 0.3340 0.3340
8 Na 0.9164 0.3336 0.9164
9 Fe 0.0000 0.5000 0.5000
10 Fe 0.5000 0.0000 0.5000
11 Fe 0.5000 0.5000 0.0000
12 Fe 0.5000 0.5000 0.5000
13 C 0.2779 0.6430 0.2910
14 C 0.2881 0.2910 0.6430
15 C 0.2910 0.2881 0.2779
16 C 0.3570 0.7221 0.7119
17 C 0.6430 0.2779 0.2881
18 C 0.7090 0.7119 0.7221
19 C 0.7119 0.7090 0.3570
20 C 0.7221 0.3570 0.7090
21 S 0.1250 0.1250 0.1250
22 S 0.8750 0.8750 0.8750
23 O 0.0566 0.3110 0.0664
24 O 0.0664 0.0660 0.0566
25 O 0.0660 0.0664 0.3110
26 O 0.1393 0.6371 0.4078
27 O 0.1436 0.3190 0.6475
28 O 0.1440 0.4040 0.3037
29 O 0.3037 0.6483 0.1440
30 O 0.3110 0.0566 0.0660
31 O 0.3159 0.4078 0.6371
32 O 0.3190 0.1436 0.3899
33 O 0.3517 0.6963 0.5960
34 O 0.3525 0.6101 0.8564
35 O 0.3629 0.8607 0.6841
36 O 0.3899 0.6475 0.3190
37 O 0.4040 0.1440 0.6483
38 O 0.4078 0.3159 0.1393
39 O 0.5922 0.6841 0.8607
40 O 0.5960 0.8560 0.3517
41 O 0.6101 0.3525 0.6810
42 O 0.6371 0.1393 0.3159
43 O 0.6475 0.3899 0.1436
44 O 0.6483 0.3037 0.4040
45 O 0.6810 0.8564 0.6101
46 O 0.6841 0.5922 0.3629
47 O 0.6890 0.9434 0.9340
48 O 0.6963 0.3517 0.8560
49 O 0.8560 0.5960 0.6963
50 O 0.8564 0.6810 0.3525
51 O 0.8607 0.3629 0.5922
52 O 0.9340 0.9336 0.6890
53 O 0.9336 0.9340 0.9434
54 O 0.9434 0.6890 0.9336

Peak list (12 most intense, 2θ = 5–70°, by angle)
| 2θ (°) | I/Imax |
| --- | --- |
| 10.98 | 92 |
| 17.85 | 78 |
| 20.67 | 94 |
| 21.34 | 100 |
| 22.07 | 24 |
| 32.49 | 44 |
| 33.70 | 50 |
| 33.89 | 53 |
| 36.10 | 27 |
| 36.22 | 32 |
| 36.95 | 22 |
| 37.49 | 21 |